For SmGdS2F2, a PBE-relaxed structure gives the computed powder diffraction line list in this record (Cu Kα (λ = 1.5418 Å)).

Principal peaks in the range 10 to 80 degrees two-theta, by angle:
26.03 deg, rel. 32, hkl 0 0 2; 26.80 deg, rel. 100, hkl 1 0 1; 33.29 deg, rel. 51, hkl 1 1 0; 35.26 deg, rel. 17, hkl 1 0 2; 42.74 deg, rel. 56, hkl 1 1 2; 46.39 deg, rel. 35, hkl 1 0 3; 47.79 deg, rel. 28, hkl 2 0 0; 55.22 deg, rel. 17, hkl 2 0 2; 55.64 deg, rel. 28, hkl 2 1 1; 68.81 deg, rel. 21, hkl 2 1 3

Cell and atoms:
```
data_SmGdS2F2
_cell_length_a 3.8062
_cell_length_b 3.8062
_cell_length_c 6.8463
_cell_angle_alpha 90.00
_cell_angle_beta 90.00
_cell_angle_gamma 90.00
_space_group_name_H-M_alt 'P 1'
_space_group_IT_number 1
_space_group_name_Hall 'P 1'
loop_
_atom_site_label
_atom_site_fract_x
_atom_site_fract_y
_atom_site_fract_z
_atom_site_occupancy
Sm1 0.0000 0.0000 0.0000 1
Gd1 0.5000 0.5000 0.5422 1
S1 0.0000 0.0000 0.4163 1
S2 0.5000 0.5000 0.1297 1
F1 0.0000 0.5000 0.7696 1
F2 0.5000 0.0000 0.7696 1
```